1.
# YCo2CuH8
Computed powder diffraction line list, Cu Kα (λ = 1.5418 Å). Input: a structure optimized by DFT (GGA-PBE).

Structural model:
```
data_YCo2CuH8
_symmetry_space_group_name_H-M 'P -3 m 1'
_symmetry_Int_Tables_number 164
_symmetry_space_group_name_Hall '-P 3 2"'
_cell_length_a 4.5547
_cell_length_b 4.5547
_cell_length_c 6.0263
_cell_angle_alpha 90.00
_cell_angle_beta 90.00
_cell_angle_gamma 120.00
loop_
_atom_site_label
_atom_site_type_symbol
_atom_site_fract_x
_atom_site_fract_y
_atom_site_fract_z
_atom_site_occupancy
Y1 Y 0.0000 0.0000 0.0000 1
Co1 Co 0.3333 0.6667 0.3416 1
Cu1 Cu 0.0000 0.0000 0.5000 1
H1 H 0.1453 0.2905 0.3016 1
H2 H 0.3333 0.6667 0.0851 1
```

Largest 10 diffraction maxima, by angle, 2θ = 10–90°:
22.5 deg, rel. 44; 27.0 deg, rel. 67; 37.6 deg, rel. 100; 39.6 deg, rel. 81; 48.6 deg, rel. 11; 50.2 deg, rel. 12; 55.7 deg, rel. 31; 66.4 deg, rel. 20; 70.5 deg, rel. 29; 71.8 deg, rel. 12

2.
# Y6HoTm2
Computed powder diffraction line list, Cu Kα (λ = 1.5418 Å). Input: a structure optimized by DFT (GGA-PBE).

Structural model:
```
data_Y6HoTm2
_symmetry_space_group_name_H-M 'C 1 2/c 1'
_symmetry_Int_Tables_number 15
_cell_length_a 21.642
_cell_length_b 9.561
_cell_length_c 5.700
_cell_angle_alpha 90.00
_cell_angle_beta 105.22
_cell_angle_gamma 90.00
loop_
_symmetry_equiv_pos_as_xyz
'x,y,z'
'-x,-y,-z'
'-x,y,-z+1/2'
'x,-y,z+1/2'
'x+1/2,y+1/2,z'
'-x+1/2,-y+1/2,-z'
'-x+1/2,y+1/2,-z+1/2'
'x+1/2,-y+1/2,z+1/2'
loop_
_atom_site_label
_atom_site_type_symbol
_atom_site_fract_x
_atom_site_fract_y
_atom_site_fract_z
_atom_site_occupancy
Y1 Y 0.084 0.082 0.299 1
Y2 Y 0.084 0.418 0.368 1
Y3 Y 0.168 0.250 0.917 1
Ho1 Ho 0.000 0.250 0.750 1
Tm1 Tm 0.250 0.082 0.532 1
```

Largest 10 diffraction maxima, by angle, 2θ = 10–90°:
31.4 deg, rel. 49; 31.5 deg, rel. 93; 31.8 deg, rel. 48; 32.2 deg, rel. 100; 45.3 deg, rel. 33; 46.1 deg, rel. 16; 56.4 deg, rel. 15; 56.8 deg, rel. 15; 57.3 deg, rel. 18; 63.0 deg, rel. 28

3.
# NbTl2Cl4F2
Computed powder diffraction line list, Cu Kα (λ = 1.5418 Å). Input: a structure optimized by DFT (GGA-PBE).

Structural model:
```
data_NbTl2Cl4F2
_symmetry_space_group_name_H-M 'C 1 2/m 1'
_symmetry_Int_Tables_number 12
_cell_length_a 11.398
_cell_length_b 7.341
_cell_length_c 5.709
_cell_angle_alpha 90.00
_cell_angle_beta 98.74
_cell_angle_gamma 90.00
loop_
_symmetry_equiv_pos_as_xyz
'x,y,z'
'-x,-y,-z'
'-x,y,-z'
'x,-y,z'
'x+1/2,y+1/2,z'
'-x+1/2,-y+1/2,-z'
'-x+1/2,y+1/2,-z'
'x+1/2,-y+1/2,z'
loop_
_atom_site_label
_atom_site_type_symbol
_atom_site_fract_x
_atom_site_fract_y
_atom_site_fract_z
_atom_site_occupancy
Nb1 Nb 0.000 0.000 0.000 1
Tl1 Tl 0.168 0.500 0.282 1
Cl1 Cl 0.102 0.243 0.805 1
F1 F 0.130 0.000 0.261 1
```

Largest 10 diffraction maxima, by angle, 2θ = 10–90°:
20.5 deg, rel. 64; 22.2 deg, rel. 100; 24.2 deg, rel. 30; 26.7 deg, rel. 67; 31.7 deg, rel. 25; 32.0 deg, rel. 79; 33.8 deg, rel. 24; 37.8 deg, rel. 32; 45.4 deg, rel. 27; 54.9 deg, rel. 24

4.
# Ac2Nd4Hg3N2
Computed powder diffraction line list, Cu Kα (λ = 1.5418 Å). Input: a structure optimized by DFT (GGA-PBE).

Structural model:
```
data_Ac2Nd4Hg3N2
_symmetry_space_group_name_H-M 'I 4/m m m'
_symmetry_Int_Tables_number 139
_symmetry_space_group_name_Hall '-I 4 2'
_cell_length_a 5.017
_cell_length_b 5.017
_cell_length_c 24.993
_cell_angle_alpha 90.00
_cell_angle_beta 90.00
_cell_angle_gamma 90.00
loop_
_atom_site_label
_atom_site_type_symbol
_atom_site_fract_x
_atom_site_fract_y
_atom_site_fract_z
_atom_site_occupancy
Ac1 Ac 0.000 0.000 0.197 1
Nd1 Nd 0.000 0.500 0.082 1
Hg1 Hg 0.000 0.000 0.332 1
Hg2 Hg 0.000 0.000 0.500 1
N1 N 0.000 0.000 0.101 1
```

Largest 10 diffraction maxima, by angle, 2θ = 10–90°:
18.0 deg, rel. 13; 25.1 deg, rel. 13; 26.1 deg, rel. 42; 30.7 deg, rel. 34; 33.2 deg, rel. 100; 35.8 deg, rel. 62; 47.9 deg, rel. 21; 51.5 deg, rel. 22; 62.7 deg, rel. 33; 86.8 deg, rel. 12

5.
# Na8Cu5O10
Computed powder diffraction line list, Cu Kα (λ = 1.5418 Å). Input: a structure optimized by DFT (GGA-PBE).

Structural model:
```
data_Na8Cu5O10
_symmetry_space_group_name_H-M 'C 1 m 1'
_symmetry_Int_Tables_number 8
_cell_length_a 8.406
_cell_length_b 14.088
_cell_length_c 5.712
_cell_angle_alpha 90.00
_cell_angle_beta 111.79
_cell_angle_gamma 90.00
loop_
_symmetry_equiv_pos_as_xyz
'x,y,z'
'x,-y,z'
'x+1/2,y+1/2,z'
'x+1/2,-y+1/2,z'
loop_
_atom_site_label
_atom_site_type_symbol
_atom_site_fract_x
_atom_site_fract_y
_atom_site_fract_z
_atom_site_occupancy
Na1 Na 0.000 0.000 0.000 1
Na2 Na 0.055 0.276 0.052 1
Na3 Na 0.064 0.500 0.050 1
Na4 Na 0.330 0.112 0.281 1
Na5 Na 0.381 0.368 0.313 1
Cu1 Cu 0.179 0.500 0.632 1
Cu2 Cu 0.198 0.300 0.660 1
Cu3 Cu 0.204 0.100 0.692 1
O1 O 0.132 0.000 0.443 1
O2 O 0.132 0.395 0.399 1
O3 O 0.152 0.196 0.437 1
O4 O 0.239 0.403 0.888 1
O5 O 0.260 0.000 0.940 1
O6 O 0.261 0.206 0.918 1
```

Largest 10 diffraction maxima, by angle, 2θ = 10–90°:
16.7 deg, rel. 29; 22.8 deg, rel. 100; 33.0 deg, rel. 20; 33.2 deg, rel. 19; 33.8 deg, rel. 16; 39.9 deg, rel. 18; 43.0 deg, rel. 25; 45.2 deg, rel. 27; 51.7 deg, rel. 19; 55.4 deg, rel. 15

6.
# DyIn4Pt2
Computed powder diffraction line list, Cu Kα (λ = 1.5418 Å). Input: a structure optimized by DFT (GGA-PBE).

Structural model:
```
data_DyIn4Pt2
_symmetry_space_group_name_H-M 'P n m a'
_symmetry_Int_Tables_number 62
_cell_length_a 18.540
_cell_length_b 4.438
_cell_length_c 7.414
_cell_angle_alpha 90.00
_cell_angle_beta 90.00
_cell_angle_gamma 90.00
loop_
_symmetry_equiv_pos_as_xyz
'x,y,z'
'-x,-y,-z'
'-x+1/2,-y,z+1/2'
'x+1/2,y,-z+1/2'
'x+1/2,-y+1/2,-z+1/2'
'-x+1/2,y+1/2,z+1/2'
'-x,y+1/2,-z'
'x,-y+1/2,z'
loop_
_atom_site_label
_atom_site_type_symbol
_atom_site_fract_x
_atom_site_fract_y
_atom_site_fract_z
_atom_site_occupancy
Dy1 Dy 0.144 0.250 0.053 1
In1 In 0.034 0.750 0.864 1
In2 In 0.069 0.250 0.502 1
In3 In 0.187 0.750 0.347 1
In4 In 0.189 0.750 0.760 1
Pt1 Pt 0.045 0.750 0.250 1
Pt2 Pt 0.220 0.250 0.555 1
```

Largest 10 diffraction maxima, by angle, 2θ = 10–90°:
31.8 deg, rel. 28; 32.9 deg, rel. 100; 33.7 deg, rel. 77; 35.4 deg, rel. 23; 36.0 deg, rel. 37; 40.7 deg, rel. 61; 43.0 deg, rel. 40; 43.2 deg, rel. 35; 47.1 deg, rel. 16; 55.4 deg, rel. 21